Simulated powder X-ray diffraction pattern
Compound: CaLaPrTm
Radiation: a wavelength of 1.5418 Å
Structure: the PBE geometry in Alexandria
No peak broadening, texture or thermal motion is included.

Main lines, in order of rising 2θ (5 to 70 degrees two-theta):
d (Å)	two_theta	intensity	index
10.560	8.37	42	0 0 1
3.487	25.55	5	1 0 1
3.027	29.51	100	1 0 2
2.640	33.96	16	0 0 4
2.612	34.33	34	1 1 0
2.548	35.22	13	1 0 3
2.536	35.40	6	1 1 1
1.857	49.06	22	1 1 4
1.847	49.34	12	2 0 0
1.589	58.05	12	1 0 6
1.577	58.55	28	2 1 2
1.513	61.25	11	2 0 4

Structural model:
```
data_CaLaPrTm
_symmetry_space_group_name_H-M 'P 4 m m'
_symmetry_Int_Tables_number 99
_symmetry_space_group_name_Hall 'P 4 -2'
_cell_length_a 3.694
_cell_length_b 3.694
_cell_length_c 10.560
_cell_angle_alpha 90.00
_cell_angle_beta 90.00
_cell_angle_gamma 90.00
loop_
_atom_site_label
_atom_site_type_symbol
_atom_site_fract_x
_atom_site_fract_y
_atom_site_fract_z
Ca1 Ca 0.000 0.000 0.000
La1 La 0.500 0.500 0.729
Pr1 Pr 0.500 0.500 0.264
Tm1 Tm 0.000 0.000 0.494
```

***

Simulated powder X-ray diffraction pattern
Compound: Bi4PtPb2
Radiation: a wavelength of 1.5418 Å
Structure: the PBE geometry in Alexandria
No peak broadening, texture or thermal motion is included.

Main lines, in order of rising 2θ (5 to 70 degrees two-theta):
d (Å)	two_theta	intensity	index
5.976	14.82	18	1 0 0
3.451	25.82	28	1 1 0
3.008	29.70	100	1 1 1
2.988	29.90	23	2 0 0
2.975	30.03	42	0 1 2
2.893	30.91	69	1 0 -3
2.575	34.84	18	2 0 1
2.440	36.84	21	2 1 0
2.384	37.73	71	2 1 -2
2.113	42.79	34	0 2 0
1.706	53.71	30	1 2 -3
1.443	64.58	16	3 1 -5

Structural model:
```
data_Bi4PtPb2
_symmetry_space_group_name_H-M 'P 1 2/m 1'
_symmetry_Int_Tables_number 10
_symmetry_space_group_name_Hall '-P 2y'
_cell_length_a 6.279
_cell_length_b 4.226
_cell_length_c 8.803
_cell_angle_alpha 90.00
_cell_angle_beta 107.87
_cell_angle_gamma 90.00
loop_
_atom_site_label
_atom_site_type_symbol
_atom_site_fract_x
_atom_site_fract_y
_atom_site_fract_z
Bi1 Bi 0.174 0.000 0.242
Bi2 Bi 0.311 0.500 0.594
Pt1 Pt 0.000 0.000 0.500
Pb1 Pb 0.228 0.500 0.949
```

***

Simulated powder X-ray diffraction pattern
Compound: Rb4Dy3HfS8
Radiation: a wavelength of 1.5418 Å
Structure: the PBE geometry in Alexandria
No peak broadening, texture or thermal motion is included.

Main lines, in order of rising 2θ (5 to 70 degrees two-theta):
d (Å)	two_theta	intensity	index
7.690	11.51	34	0 0 3
3.845	23.13	27	0 0 6
3.313	26.91	47	2 0 2
2.966	30.13	100	0 2 4
2.386	37.70	9	0 2 7
2.215	40.74	37	2 0 8
1.997	45.42	33	2 2 0
1.920	47.34	22	0 0 12
1.772	51.57	20	2 2 6
1.657	55.47	17	4 0 4
1.483	62.63	10	0 4 8
1.385	67.66	19	2 2 12

Structural model:
```
data_Rb4Dy3HfS8
_symmetry_space_group_name_H-M 'R -3 m'
_symmetry_Int_Tables_number 166
_symmetry_space_group_name_Hall '-R 3 2"'
_cell_length_a 7.9881
_cell_length_b 7.9881
_cell_length_c 23.0704
_cell_angle_alpha 90.00
_cell_angle_beta 90.00
_cell_angle_gamma 120.00
loop_
_atom_site_label
_atom_site_type_symbol
_atom_site_fract_x
_atom_site_fract_y
_atom_site_fract_z
Rb1 Rb 0.0000 0.0000 0.0000
Rb2 Rb 0.0000 0.5000 0.0000
Dy1 Dy 0.0000 0.5000 0.5000
Hf1 Hf 0.0000 0.0000 0.5000
S1 S 0.0000 0.0000 0.2317
S2 S 0.0166 0.5083 0.2298
```

***

Simulated powder X-ray diffraction pattern
Compound: SrCaGaAg
Radiation: a wavelength of 1.5418 Å
Structure: the PBE geometry in Alexandria
No peak broadening, texture or thermal motion is included.

Main lines, in order of rising 2θ (5 to 70 degrees two-theta):
d (Å)	two_theta	intensity	index
5.966	14.85	46	0 0 2
4.016	22.13	27	0 1 1
3.035	29.43	100	1 1 1
2.909	30.74	47	0 1 3
2.508	35.80	56	1 0 4
2.464	36.47	79	1 1 3
2.318	38.86	33	2 0 0
2.133	42.38	26	0 2 0
1.828	49.88	20	1 0 6
1.813	50.34	22	2 1 3
1.625	56.65	28	1 2 4
1.569	58.84	19	2 2 0

Structural model:
```
data_SrCaGaAg
_symmetry_space_group_name_H-M 'A m m 2'
_symmetry_Int_Tables_number 38
_symmetry_space_group_name_Hall 'A 2 -2'
_cell_length_a 4.635
_cell_length_b 4.265
_cell_length_c 11.932
_cell_angle_alpha 90.00
_cell_angle_beta 90.00
_cell_angle_gamma 90.00
loop_
_atom_site_label
_atom_site_type_symbol
_atom_site_fract_x
_atom_site_fract_y
_atom_site_fract_z
Sr1 Sr 0.000 0.000 0.000
Ca1 Ca 0.500 0.000 0.289
Ga1 Ga 0.000 0.000 0.719
Ag1 Ag 0.500 0.000 0.591
```